Theoretical powder XRD pattern
Compound: NpB5Pt11
Radiation: Cu Kα (λ = 1.5418 Å)
Structure: DFT lattice parameters and positions (GGA-PBE)

Principal peaks in the range 2θ = 5–70°, in order of falling intensity:
| 2θ (°) | I/Imax | hkl |
| --- | --- | --- |
| 34.26 | 100 | 2 0 -2 |
| 33.43 | 66 | 1 3 1 |
| 42.67 | 57 | 2 0 2 |
| 42.46 | 55 | 2 4 -1 |
| 32.10 | 46 | 1 1 -2 |
| 38.09 | 43 | 0 4 1 |
| 38.48 | 31 | 2 2 -2 |
| 29.79 | 29 | 2 0 1 |
| 34.53 | 26 | 0 4 0 |
| 41.29 | 21 | 2 4 0 |
| 48.20 | 17 | 4 2 0 |
| 54.06 | 14 | 1 3 -3 |

Atomic structure:
```
data_NpB5Pt11
_cell_length_a 8.317
_cell_length_b 10.387
_cell_length_c 5.838
_cell_angle_alpha 90.00
_cell_angle_beta 102.92
_cell_angle_gamma 90.00
_space_group_name_H-M_alt 'C 1 2/m 1'
_space_group_IT_number 12
loop_
_space_group_symop_operation_xyz
'x,y,z'
'-x,-y,-z'
'-x,y,-z'
'x,-y,z'
'x+1/2,y+1/2,z'
'-x+1/2,-y+1/2,-z'
'-x+1/2,y+1/2,-z'
'x+1/2,-y+1/2,z'
loop_
_atom_site_label
_atom_site_type_symbol
_atom_site_fract_x
_atom_site_fract_y
_atom_site_fract_z
Np1 Np 0.000 0.000 0.000
B1 B 0.000 0.500 0.000
B2 B 0.176 0.173 0.719
Pt1 Pt 0.000 0.000 0.500
Pt2 Pt 0.102 0.227 0.346
Pt3 Pt 0.160 0.500 0.342
Pt4 Pt 0.178 0.363 0.921
```


Theoretical powder XRD pattern
Compound: Tb2ReN4
Radiation: Cu Kα (λ = 1.5418 Å)
Structure: DFT lattice parameters and positions (GGA-PBE)

Principal peaks in the range 2θ = 5–70°, in order of falling intensity:
| 2θ (°) | I/Imax | hkl |
| --- | --- | --- |
| 30.49 | 100 | 0 2 0 |
| 32.24 | 77 | 1 1 -2 |
| 40.30 | 61 | 1 1 2 |
| 39.36 | 52 | 2 1 -2 |
| 32.61 | 52 | 0 1 2 |
| 20.83 | 49 | 0 1 1 |
| 44.81 | 46 | 2 2 0 |
| 32.03 | 45 | 2 0 0 |
| 35.58 | 42 | 2 1 0 |
| 24.44 | 41 | 1 0 1 |
| 34.52 | 37 | 2 1 -1 |
| 17.83 | 35 | 1 0 -1 |

Atomic structure:
```
data_Tb2ReN4
_cell_length_a 5.865
_cell_length_b 5.863
_cell_length_c 6.522
_cell_angle_alpha 90.00
_cell_angle_beta 107.67
_cell_angle_gamma 90.00
_space_group_name_H-M_alt 'P 1 21/m 1'
_space_group_IT_number 11
loop_
_space_group_symop_operation_xyz
'x,y,z'
'-x,-y,-z'
'-x,y+1/2,-z'
'x,-y+1/2,z'
loop_
_atom_site_label
_atom_site_type_symbol
_atom_site_fract_x
_atom_site_fract_y
_atom_site_fract_z
Tb1 Tb 0.172 0.250 0.036
Tb2 Tb 0.239 0.250 0.558
Re1 Re 0.287 0.750 0.813
N1 N 0.047 0.515 0.755
N2 N 0.469 0.750 0.092
N3 N 0.479 0.750 0.638
```


Theoretical powder XRD pattern
Compound: AcSn3
Radiation: Cu Kα (λ = 1.5418 Å)
Structure: DFT lattice parameters and positions (GGA-PBE)

Principal peaks in the range 2θ = 5–70°, in order of falling intensity:
| 2θ (°) | I/Imax | hkl |
| --- | --- | --- |
| 31.50 | 100 | 1 1 1 |
| 36.53 | 51 | 2 0 0 |
| 62.64 | 44 | 3 1 1 |
| 52.63 | 37 | 2 2 0 |
| 65.76 | 13 | 2 2 2 |
| 18.03 | 8 | 1 0 0 |
| 25.61 | 7 | 1 1 0 |
| 41.03 | 4 | 2 1 0 |
| 45.15 | 3 | 2 1 1 |
| 56.09 | 2 | 3 0 0 |
| 59.42 | 1 | 3 1 0 |
| 68.81 | 1 | 3 2 0 |

Atomic structure:
```
data_AcSn3
_cell_length_a 4.919
_cell_length_b 4.919
_cell_length_c 4.919
_cell_angle_alpha 90.00
_cell_angle_beta 90.00
_cell_angle_gamma 90.00
_space_group_name_H-M_alt 'P m -3 m'
_space_group_IT_number 221
_space_group_name_Hall '-P 4 2 3'
loop_
_atom_site_label
_atom_site_type_symbol
_atom_site_fract_x
_atom_site_fract_y
_atom_site_fract_z
Ac1 Ac 0.000 0.000 0.000
Sn1 Sn 0.000 0.500 0.500
```


Theoretical powder XRD pattern
Compound: InAgCl4
Radiation: Cu Kα (λ = 1.5418 Å)
Structure: DFT lattice parameters and positions (GGA-PBE)

Principal peaks in the range 2θ = 5–70°, in order of falling intensity:
| 2θ (°) | I/Imax | hkl |
| --- | --- | --- |
| 26.13 | 100 | 1 1 2 |
| 16.41 | 74 | 1 0 1 |
| 44.56 | 40 | 2 0 4 |
| 14.15 | 34 | 1 0 0 |
| 49.08 | 31 | 3 1 2 |
| 21.85 | 27 | 1 0 2 |
| 40.78 | 25 | 2 2 0 |
| 33.09 | 17 | 2 1 1 |
| 40.99 | 15 | 2 1 3 |
| 36.22 | 15 | 2 1 2 |
| 53.47 | 11 | 3 2 1 |
| 55.55 | 11 | 1 1 6 |

Atomic structure:
```
data_InAgCl4
_cell_length_a 6.258
_cell_length_b 6.258
_cell_length_c 10.702
_cell_angle_alpha 90.00
_cell_angle_beta 90.00
_cell_angle_gamma 90.00
_space_group_name_H-M_alt 'P -4 2 c'
_space_group_IT_number 112
loop_
_space_group_symop_operation_xyz
'x,y,z'
'y,-x,-z'
'-x,-y,z'
'-y,x,-z'
'x,-y,-z+1/2'
'y,x,z+1/2'
'-x,y,-z+1/2'
'-y,-x,z+1/2'
loop_
_atom_site_label
_atom_site_type_symbol
_atom_site_fract_x
_atom_site_fract_y
_atom_site_fract_z
In1 In 0.000 0.500 0.250
Ag1 Ag 0.000 0.000 0.000
Cl1 Cl 0.228 0.280 0.377
```


Theoretical powder XRD pattern
Compound: MnNb2Pd8
Radiation: Cu Kα (λ = 1.5418 Å)
Structure: DFT lattice parameters and positions (GGA-PBE)

Principal peaks in the range 2θ = 5–70°, in order of falling intensity:
| 2θ (°) | I/Imax | hkl |
| --- | --- | --- |
| 41.58 | 100 | 1 2 3 |
| 40.43 | 34 | 2 0 0 |
| 39.81 | 23 | 1 0 5 |
| 41.22 | 16 | 0 0 6 |
| 32.64 | 12 | 0 2 2 |
| 59.11 | 11 | 2 0 6 |
| 52.90 | 9 | 2 2 2 |
| 37.10 | 9 | 1 1 4 |
| 64.60 | 9 | 0 2 8 |
| 61.41 | 8 | 0 4 0 |
| 36.58 | 4 | 1 2 1 |
| 45.59 | 4 | 0 3 1 |

Atomic structure:
```
data_MnNb2Pd8
_cell_length_a 4.463
_cell_length_b 6.039
_cell_length_c 13.139
_cell_angle_alpha 90.00
_cell_angle_beta 90.00
_cell_angle_gamma 90.00
_space_group_name_H-M_alt 'I m m m'
_space_group_IT_number 71
_space_group_name_Hall '-I 2 2'
loop_
_atom_site_label
_atom_site_type_symbol
_atom_site_fract_x
_atom_site_fract_y
_atom_site_fract_z
Mn1 Mn 0.000 0.000 0.000
Nb1 Nb 0.000 0.000 0.306
Pd1 Pd 0.000 0.228 0.500
Pd2 Pd 0.000 0.276 0.139
Pd3 Pd 0.000 0.500 0.325
```


Theoretical powder XRD pattern
Compound: Co2Ni6Ir3
Radiation: Cu Kα (λ = 1.5418 Å)
Structure: DFT lattice parameters and positions (GGA-PBE)

Principal peaks in the range 2θ = 5–70°, in order of falling intensity:
| 2θ (°) | I/Imax | hkl |
| --- | --- | --- |
| 13.27 | 100 | 0 0 2 |
| 46.33 | 68 | 0 2 4 |
| 38.22 | 60 | 3 1 0 |
| 39.83 | 53 | 3 1 -2 |
| 45.22 | 51 | 2 0 -6 |
| 40.57 | 50 | 0 0 6 |
| 41.43 | 46 | 3 1 2 |
| 45.82 | 35 | 3 1 -4 |
| 37.12 | 34 | 0 2 0 |
| 39.58 | 31 | 0 2 2 |
| 48.65 | 29 | 3 1 4 |
| 46.22 | 28 | 2 2 2 |

Atomic structure:
```
data_Co2Ni6Ir3
_cell_length_a 8.102
_cell_length_b 4.844
_cell_length_c 13.372
_cell_angle_alpha 90.00
_cell_angle_beta 93.93
_cell_angle_gamma 90.00
_space_group_name_H-M_alt 'C 1 2/c 1'
_space_group_IT_number 15
loop_
_space_group_symop_operation_xyz
'x,y,z'
'-x,-y,-z'
'-x,y,-z+1/2'
'x,-y,z+1/2'
'x+1/2,y+1/2,z'
'-x+1/2,-y+1/2,-z'
'-x+1/2,y+1/2,-z+1/2'
'x+1/2,-y+1/2,z+1/2'
loop_
_atom_site_label
_atom_site_type_symbol
_atom_site_fract_x
_atom_site_fract_y
_atom_site_fract_z
Co1 Co 0.132 0.249 0.106
Ni1 Ni 0.120 0.005 0.948
Ni2 Ni 0.122 0.496 0.438
Ni3 Ni 0.132 0.254 0.605
Ir1 Ir 0.000 0.488 0.250
Ir2 Ir 0.168 0.005 0.769
```


Theoretical powder XRD pattern
Compound: BaTl2ZnAs2
Radiation: Cu Kα (λ = 1.5418 Å)
Structure: DFT lattice parameters and positions (GGA-PBE)

Principal peaks in the range 2θ = 5–70°, in order of falling intensity:
| 2θ (°) | I/Imax | hkl |
| --- | --- | --- |
| 28.64 | 100 | 1 2 1 |
| 31.70 | 50 | 1 1 2 |
| 27.24 | 30 | 0 3 1 |
| 41.39 | 26 | 2 0 0 |
| 32.25 | 25 | 1 3 0 |
| 35.16 | 24 | 0 1 3 |
| 24.74 | 22 | 0 3 0 |
| 28.04 | 19 | 0 2 2 |
| 40.96 | 17 | 1 1 3 |
| 34.89 | 17 | 1 2 2 |
| 52.98 | 15 | 1 4 3 |
| 48.41 | 15 | 0 4 3 |

Atomic structure:
```
data_BaTl2ZnAs2
_cell_length_a 4.363
_cell_length_b 10.796
_cell_length_c 7.881
_cell_angle_alpha 90.00
_cell_angle_beta 90.00
_cell_angle_gamma 90.00
_space_group_name_H-M_alt 'P m c 21'
_space_group_IT_number 26
loop_
_space_group_symop_operation_xyz
'x,y,z'
'-x,-y,z+1/2'
'-x,y,z'
'x,-y,z+1/2'
loop_
_atom_site_label
_atom_site_type_symbol
_atom_site_fract_x
_atom_site_fract_y
_atom_site_fract_z
Ba1 Ba 0.000 0.042 0.000
Tl1 Tl 0.000 0.341 0.322
Tl2 Tl 0.500 0.402 0.947
Zn1 Zn 0.500 0.215 0.585
As1 As 0.000 0.268 0.721
As2 As 0.500 0.141 0.286
```


Theoretical powder XRD pattern
Compound: Ca4LaGa4
Radiation: Cu Kα (λ = 1.5418 Å)
Structure: DFT lattice parameters and positions (GGA-PBE)

Principal peaks in the range 2θ = 5–70°, in order of falling intensity:
| 2θ (°) | I/Imax | hkl |
| --- | --- | --- |
| 29.57 | 100 | 1 3 0 |
| 17.17 | 73 | 1 0 1 |
| 36.95 | 40 | 2 3 1 |
| 25.40 | 36 | 1 2 1 |
| 30.58 | 34 | 1 0 2 |
| 45.20 | 29 | 3 2 2 |
| 36.02 | 29 | 1 2 2 |
| 41.66 | 29 | 4 1 1 |
| 42.31 | 27 | 4 2 0 |
| 40.82 | 26 | 3 0 2 |
| 19.54 | 24 | 1 1 1 |
| 66.96 | 18 | 4 3 3 |

Atomic structure:
```
data_Ca4LaGa4
_cell_length_a 9.554
_cell_length_b 9.554
_cell_length_c 6.141
_cell_angle_alpha 90.00
_cell_angle_beta 90.00
_cell_angle_gamma 90.00
_space_group_name_H-M_alt 'P 42/n'
_space_group_IT_number 86
loop_
_space_group_symop_operation_xyz
'x,y,z'
'-x,-y,-z'
'-y,x+1/2,z+1/2'
'y,-x+1/2,-z+1/2'
'-x+1/2,-y+1/2,z'
'x+1/2,y+1/2,-z'
'y+1/2,-x,z+1/2'
'-y+1/2,x,-z+1/2'
loop_
_atom_site_label
_atom_site_type_symbol
_atom_site_fract_x
_atom_site_fract_y
_atom_site_fract_z
Ca1 Ca 0.077 0.657 0.124
La1 La 0.250 0.250 0.250
Ga1 Ga 0.022 0.606 0.619
```


Theoretical powder XRD pattern
Compound: CeMg10Ag2
Radiation: Cu Kα (λ = 1.5418 Å)
Structure: DFT lattice parameters and positions (GGA-PBE)

Principal peaks in the range 2θ = 5–70°, in order of falling intensity:
| 2θ (°) | I/Imax | hkl |
| --- | --- | --- |
| 12.32 | 100 | 0 0 2 |
| 36.19 | 71 | 2 2 2 |
| 35.35 | 47 | 0 4 4 |
| 35.56 | 45 | 1 5 1 |
| 24.79 | 39 | 0 4 0 |
| 27.77 | 31 | 0 4 2 |
| 51.48 | 29 | 2 6 2 |
| 25.08 | 29 | 1 3 1 |
| 30.73 | 26 | 1 3 3 |
| 42.44 | 24 | 2 2 4 |
| 17.87 | 19 | 1 1 1 |
| 64.00 | 18 | 2 6 6 |

Atomic structure:
```
data_CeMg10Ag2
_cell_length_a 5.690
_cell_length_b 14.365
_cell_length_c 14.365
_cell_angle_alpha 90.00
_cell_angle_beta 90.00
_cell_angle_gamma 90.00
_space_group_name_H-M_alt 'F m m m'
_space_group_IT_number 69
_space_group_name_Hall '-F 2 2'
loop_
_atom_site_label
_atom_site_type_symbol
_atom_site_fract_x
_atom_site_fract_y
_atom_site_fract_z
Ce1 Ce 0.000 0.000 0.000
Mg1 Mg 0.000 0.111 0.397
Mg2 Mg 0.000 0.180 0.168
Mg3 Mg 0.250 0.000 0.250
Ag1 Ag 0.250 0.250 0.000
```


Theoretical powder XRD pattern
Compound: Rb4SnPb5
Radiation: Cu Kα (λ = 1.5418 Å)
Structure: DFT lattice parameters and positions (GGA-PBE)

Principal peaks in the range 2θ = 5–70°, in order of falling intensity:
| 2θ (°) | I/Imax | hkl |
| --- | --- | --- |
| 11.04 | 100 | 1 1 0 |
| 25.79 | 85 | 0 3 1 |
| 27.89 | 79 | 3 0 1 |
| 33.56 | 65 | 3 3 0 |
| 29.71 | 43 | 0 2 2 |
| 15.14 | 41 | 1 0 1 |
| 35.25 | 40 | 1 3 2 |
| 31.73 | 30 | 3 2 1 |
| 25.59 | 29 | 0 0 2 |
| 53.01 | 27 | 3 5 2 |
| 46.55 | 26 | 3 0 3 |
| 45.24 | 26 | 0 3 3 |

Atomic structure:
```
data_Rb4SnPb5
_cell_length_a 10.808
_cell_length_b 11.937
_cell_length_c 6.963
_cell_angle_alpha 90.00
_cell_angle_beta 90.00
_cell_angle_gamma 90.00
_space_group_name_H-M_alt 'I m m 2'
_space_group_IT_number 44
loop_
_space_group_symop_operation_xyz
'x,y,z'
'-x,-y,z'
'-x,y,z'
'x,-y,z'
'x+1/2,y+1/2,z+1/2'
'-x+1/2,-y+1/2,z+1/2'
'-x+1/2,y+1/2,z+1/2'
'x+1/2,-y+1/2,z+1/2'
loop_
_atom_site_label
_atom_site_type_symbol
_atom_site_fract_x
_atom_site_fract_y
_atom_site_fract_z
Rb1 Rb 0.000 0.219 0.000
Rb2 Rb 0.202 0.000 0.495
Sn1 Sn 0.000 0.500 0.734
Pb1 Pb 0.000 0.500 0.253
Pb2 Pb 0.146 0.314 0.505
```


Theoretical powder XRD pattern
Compound: Sr4LaS5
Radiation: Cu Kα (λ = 1.5418 Å)
Structure: DFT lattice parameters and positions (GGA-PBE)

Principal peaks in the range 2θ = 5–70°, in order of falling intensity:
| 2θ (°) | I/Imax | hkl |
| --- | --- | --- |
| 29.77 | 100 | 1 1 0 |
| 42.49 | 73 | 1 1 10 |
| 25.66 | 67 | 1 0 5 |
| 29.62 | 52 | 0 0 10 |
| 52.74 | 38 | 2 0 10 |
| 42.60 | 36 | 2 0 0 |
| 50.40 | 23 | 2 1 5 |
| 69.80 | 16 | 1 1 20 |
| 50.21 | 12 | 1 0 15 |
| 61.82 | 12 | 2 2 0 |
| 5.86 | 10 | 0 0 2 |
| 67.91 | 10 | 2 1 15 |

Atomic structure:
```
data_Sr4LaS5
_cell_length_a 4.245
_cell_length_b 4.245
_cell_length_c 30.157
_cell_angle_alpha 90.00
_cell_angle_beta 90.00
_cell_angle_gamma 90.00
_space_group_name_H-M_alt 'I 4/m m m'
_space_group_IT_number 139
_space_group_name_Hall '-I 4 2'
loop_
_atom_site_label
_atom_site_type_symbol
_atom_site_fract_x
_atom_site_fract_y
_atom_site_fract_z
Sr1 Sr 0.000 0.000 0.100
Sr2 Sr 0.000 0.000 0.300
La1 La 0.000 0.000 0.500
S1 S 0.000 0.000 0.000
S2 S 0.000 0.000 0.200
S3 S 0.000 0.000 0.402
```


Theoretical powder XRD pattern
Compound: LiTm2Pd3
Radiation: Cu Kα (λ = 1.5418 Å)
Structure: DFT lattice parameters and positions (GGA-PBE)

Principal peaks in the range 2θ = 5–70°, in order of falling intensity:
| 2θ (°) | I/Imax | hkl |
| --- | --- | --- |
| 38.86 | 100 | 1 0 3 |
| 37.00 | 63 | 1 1 0 |
| 67.91 | 38 | 2 1 3 |
| 32.25 | 29 | 1 0 2 |
| 53.32 | 22 | 2 0 0 |
| 9.39 | 20 | 0 0 1 |
| 27.63 | 14 | 1 0 1 |
| 18.85 | 12 | 0 0 2 |
| 62.38 | 10 | 1 1 5 |
| 63.70 | 8 | 2 1 2 |
| 41.84 | 7 | 1 1 2 |
| 58.84 | 6 | 0 0 6 |

Atomic structure:
```
data_LiTm2Pd3
_cell_length_a 3.436
_cell_length_b 3.436
_cell_length_c 9.417
_cell_angle_alpha 90.00
_cell_angle_beta 90.00
_cell_angle_gamma 90.00
_space_group_name_H-M_alt 'P 4/m m m'
_space_group_IT_number 123
_space_group_name_Hall '-P 4 2'
loop_
_atom_site_label
_atom_site_type_symbol
_atom_site_fract_x
_atom_site_fract_y
_atom_site_fract_z
Li1 Li 0.000 0.000 0.000
Tm1 Tm 0.000 0.000 0.316
Pd1 Pd 0.500 0.500 0.149
Pd2 Pd 0.500 0.500 0.500
```


Theoretical powder XRD pattern
Compound: Y3Zn3Au
Radiation: Cu Kα (λ = 1.5418 Å)
Structure: DFT lattice parameters and positions (GGA-PBE)

Principal peaks in the range 2θ = 5–70°, in order of falling intensity:
| 2θ (°) | I/Imax | hkl |
| --- | --- | --- |
| 32.82 | 100 | 1 1 2 |
| 38.38 | 58 | 0 1 7 |
| 33.58 | 47 | 1 0 5 |
| 9.17 | 42 | 0 0 2 |
| 40.44 | 33 | 0 2 0 |
| 42.41 | 27 | 1 1 6 |
| 64.18 | 25 | 2 1 7 |
| 53.54 | 24 | 1 2 5 |
| 36.67 | 18 | 1 1 4 |
| 49.33 | 18 | 2 0 0 |
| 24.53 | 18 | 1 0 1 |
| 65.62 | 15 | 2 2 0 |

Atomic structure:
```
data_Y3Zn3Au
_cell_length_a 3.695
_cell_length_b 4.461
_cell_length_c 19.298
_cell_angle_alpha 90.00
_cell_angle_beta 90.00
_cell_angle_gamma 90.00
_space_group_name_H-M_alt 'I m m 2'
_space_group_IT_number 44
loop_
_space_group_symop_operation_xyz
'x,y,z'
'-x,-y,z'
'-x,y,z'
'x,-y,z'
'x+1/2,y+1/2,z+1/2'
'-x+1/2,-y+1/2,z+1/2'
'-x+1/2,y+1/2,z+1/2'
'x+1/2,-y+1/2,z+1/2'
loop_
_atom_site_label
_atom_site_type_symbol
_atom_site_fract_x
_atom_site_fract_y
_atom_site_fract_z
Y1 Y 0.000 0.000 0.000
Y2 Y 0.000 0.000 0.384
Y3 Y 0.000 0.500 0.195
Zn1 Zn 0.000 0.000 0.552
Zn2 Zn 0.000 0.000 0.837
Zn3 Zn 0.000 0.500 0.623
Au1 Au 0.000 0.500 0.758
```